Starting from a crystal structure in the Materials Project, relaxed with PBE, the XRD peak list of Li2Zr2O5 was computed for Cu Kα (weighted mean of Kα1 and Kα2).

Largest 6 diffraction maxima, by intensity, 2θ from 15° to 90°:
d = 3.193 Å, 2θ 27.94, I 1000
d = 2.881 Å, 2θ 31.04, I 521
d = 2.966 Å, 2θ 30.13, I 366
d = 4.322 Å, 2θ 20.55, I 354
d = 3.270 Å, 2θ 27.27, I 308
d = 3.700 Å, 2θ 24.06, I 290

Structure:
a = 10.375 Å, b = 3.931 Å, c = 13.143 Å
α = 90.00°, β = 123.57°, γ = 90.00°
Element x y z (fractional)
Li: 0.046 0.240 0.452
Li: 0.046 0.260 0.952
Li: 0.076 0.703 0.330
Li: 0.076 0.797 0.830
Li: 0.924 0.203 0.170
Li: 0.924 0.297 0.670
Li: 0.954 0.740 0.048
Li: 0.954 0.760 0.548
Zr: 0.331 0.139 0.364
Zr: 0.331 0.361 0.864
Zr: 0.331 0.685 0.145
Zr: 0.331 0.815 0.645
Zr: 0.669 0.185 0.355
Zr: 0.669 0.315 0.855
Zr: 0.669 0.639 0.136
Zr: 0.669 0.861 0.636
O: 0.115 0.748 0.011
O: 0.115 0.752 0.511
O: 0.124 0.201 0.339
O: 0.124 0.299 0.839
O: 0.291 0.660 0.291
O: 0.291 0.840 0.791
O: 0.386 0.176 0.214
O: 0.386 0.324 0.714
O: 0.414 0.634 0.032
O: 0.414 0.866 0.532
O: 0.586 0.134 0.468
O: 0.586 0.366 0.968
O: 0.614 0.676 0.286
O: 0.614 0.824 0.786
O: 0.709 0.160 0.209
O: 0.709 0.340 0.709
O: 0.876 0.701 0.161
O: 0.876 0.799 0.661
O: 0.885 0.248 0.489
O: 0.885 0.252 0.989



Starting from a crystal structure in the Materials Project, relaxed with PBE, the XRD peak list of Li2ZrO3 was computed for Cu Kα (weighted mean of Kα1 and Kα2).

Largest 6 diffraction maxima, by intensity, 2θ from 15° to 90°:
d = 4.421 Å, 2θ 20.09, I 1000
d = 3.392 Å, 2θ 26.27, I 598
d = 2.155 Å, 2θ 41.93, I 531
d = 1.561 Å, 2θ 59.20, I 331
d = 4.057 Å, 2θ 21.91, I 331
d = 2.263 Å, 2θ 39.83, I 307

Structure:
a = 5.323 Å, b = 5.323 Å, c = 5.461 Å
α = 101.12°, β = 101.12°, γ = 118.40°
Element x y z (fractional)
Li: 0.076 0.924 0.750
Li: 0.242 0.758 0.250
Li: 0.758 0.242 0.750
Li: 0.924 0.076 0.250
Zr: 0.409 0.591 0.750
Zr: 0.591 0.409 0.250
O: 0.000 0.500 0.500
O: 0.194 0.345 0.987
O: 0.345 0.194 0.487
O: 0.500 0.000 0.000
O: 0.655 0.806 0.513
O: 0.806 0.655 0.013



Starting from a crystal structure in the Materials Project, relaxed with PBE, the XRD peak list of LiPr2Os was computed for Cu Kα (weighted mean of Kα1 and Kα2).

Largest 6 diffraction maxima, by intensity, 2θ from 15° to 90°:
d = 2.545 Å, 2θ 35.26, I 1000
d = 1.470 Å, 2θ 63.28, I 368
d = 4.156 Å, 2θ 21.38, I 339
d = 2.171 Å, 2θ 41.61, I 185
d = 1.800 Å, 2θ 50.72, I 179
d = 1.138 Å, 2θ 85.26, I 164

Structure:
a = 5.091 Å, b = 5.091 Å, c = 5.091 Å
α = 60.00°, β = 60.00°, γ = 60.00°
Element x y z (fractional)
Li: 0.000 0.000 0.000
Pr: 0.250 0.250 0.250
Pr: 0.750 0.750 0.750
Os: 0.500 0.500 0.500